Entry 1:
Starting from a cell relaxed with PBE, the X-ray powder pattern of Ce2ThIn was computed for CuKα.

Crystal structure
```
Ce2ThIn
1.0
4.5320 0.0000 0.0000
0.0000 4.3815 0.0000
-1.7846 0.0000 11.5925
Ce Th In
4 2 2
Cartesian
-0.6773 1.0954 4.4922
1.0989 3.2861 4.4777
1.6485 1.0954 7.1148
3.4247 3.2861 7.1003
1.1782 1.0954 1.1626
1.5692 3.2861 10.4298
-0.6752 1.0954 9.4921
3.4226 3.2861 2.1003
```

Most intense lines, 10 to 90 degrees two-theta, by angle:
2θ = 28.1°, I 31
2θ = 28.5°, I 39
2θ = 30.3°, I 76
2θ = 30.9°, I 100
2θ = 31.0°, I 67
2θ = 33.9°, I 62
2θ = 34.9°, I 60
2θ = 39.8°, I 46
2θ = 41.2°, I 52
2θ = 52.3°, I 40



Entry 2:
Starting from a cell relaxed with PBE, the X-ray powder pattern of Ce4ThIn3 was computed for CuKα.

Crystal structure
```
Ce4ThIn3
1.0
4.1391 0.0000 0.0000
0.0000 4.1391 0.0000
0.0000 0.0000 13.2761
Ce Th In
4 1 3
Cartesian
0.0000 0.0000 1.6144
0.0000 0.0000 4.7351
0.0000 0.0000 8.5411
0.0000 0.0000 11.6617
2.0695 2.0695 6.6381
2.0695 2.0695 0.0000
2.0695 2.0695 3.2320
2.0695 2.0695 10.0441
```

Most intense lines, 10 to 90 degrees two-theta, by angle:
2θ = 30.5°, I 74
2θ = 34.6°, I 100
2θ = 43.7°, I 28
2θ = 57.0°, I 48
2θ = 63.6°, I 9
2θ = 64.6°, I 14
2θ = 72.2°, I 12
2θ = 73.1°, I 9
2θ = 74.5°, I 11
2θ = 89.2°, I 6



Entry 3:
Starting from a cell relaxed with PBE, the X-ray powder pattern of Ce2Th3In was computed for CuKα.

Crystal structure
```
Ce2Th3In
1.0
8.3716 0.0000 0.0000
0.0000 3.4120 0.0000
-2.8035 0.0000 12.4973
Ce Th In
4 6 2
Cartesian
-0.1565 0.8530 1.5980
1.2594 2.5590 7.0169
4.3087 0.8530 5.4804
5.7246 2.5590 10.8993
-0.9102 0.8530 4.7342
2.7180 2.5590 0.3022
2.0590 2.5590 3.6769
3.5091 0.8530 8.8204
2.8501 0.8530 12.1951
6.4783 2.5590 7.7631
0.2778 0.8530 9.8666
5.2903 2.5590 2.6307
```

Most intense lines, 10 to 90 degrees two-theta, by angle:
2θ = 28.3°, I 15
2θ = 28.6°, I 21
2θ = 29.8°, I 22
2θ = 32.0°, I 53
2θ = 32.9°, I 100
2θ = 34.0°, I 40
2θ = 34.2°, I 43
2θ = 57.6°, I 16
2θ = 63.9°, I 15
2θ = 64.4°, I 28



Entry 4:
Starting from a cell relaxed with PBE, the X-ray powder pattern of Ce4Th4In3 was computed for CuKα.

Crystal structure
```
Ce4Th4In3
1.0
19.2125 -2.3207 0.0000
19.2125 2.3207 0.0000
-0.3339 0.0000 3.5692
Ce Th In
4 4 3
Cartesian
1.5163 0.0000 0.1431
12.2584 0.0000 1.1452
25.8328 0.0000 2.4240
36.5749 0.0000 3.4261
8.5326 0.0000 0.7992
15.5632 0.0000 1.4552
22.5280 0.0000 2.1140
29.5586 0.0000 2.7700
5.0883 0.0000 0.4803
19.0456 0.0000 1.7846
33.0029 0.0000 3.0889
```

Most intense lines, 10 to 90 degrees two-theta, by angle:
2θ = 31.5°, I 100
2θ = 32.2°, I 90
2θ = 36.0°, I 67
2θ = 38.8°, I 29
2θ = 50.9°, I 13
2θ = 53.9°, I 42
2θ = 61.5°, I 28
2θ = 62.7°, I 23
2θ = 65.7°, I 12
2θ = 89.0°, I 14